This entry pairs a crystal structure of Mn3B7BrO13 with its calculated PXRD pattern. Radiation: λ = 1.5418 Å (Cu Kα). Structure: a cell relaxed with PBE+U.
Lines closer than 0.1° are merged.

Structure:
Unit cell a=12.3991 b=12.3991 c=12.3991 alpha=90.00 beta=90.00 gamma=90.00
Space group F-43c (No. 219)
Asymmetric unit:
Mn (0.0000, 0.0000, 0.2500) (multiplicity 24)
B (0.0000, 0.2500, 0.2500) (multiplicity 24)
B (0.1702, 0.1702, 0.3298) (multiplicity 32)
Br (0.0000, 0.0000, 0.0000) (multiplicity 8)
O (0.0698, 0.1562, 0.2727) (multiplicity 96)
O (0.2500, 0.2500, 0.2500) (multiplicity 8)

Principal peaks in the range 10° ≤ 2θ ≤ 90°, in order of rising 2θ:
- 2θ = 24.88°, 3.579 Å, rel. 14, hkl 2 2 2
- 2θ = 28.80°, 3.100 Å, rel. 100, hkl 4 0 0
- 2θ = 32.29°, 2.773 Å, rel. 79, hkl 4 2 0
- 2θ = 41.18°, 2.192 Å, rel. 62, hkl 4 4 0
- 2θ = 43.16°, 2.096 Å, rel. 24, hkl 5 3 1
- 2θ = 43.81°, 2.067 Å, rel. 16, hkl 6 0 0
- 2θ = 48.71°, 1.869 Å, rel. 16, hkl 6 2 2
- 2θ = 51.03°, 1.790 Å, rel. 31, hkl 4 4 4
- 2θ = 53.28°, 1.719 Å, rel. 16, hkl 6 4 0
- 2θ = 61.69°, 1.504 Å, rel. 25, hkl 8 2 0
- 2θ = 67.58°, 1.386 Å, rel. 31, hkl 8 4 0
- 2θ = 75.06°, 1.265 Å, rel. 28, hkl 8 4 4